# 1
TaTc5: calculated X-ray diffraction stick pattern (Cu Kα (weighted mean of Kα1 and Kα2)), based on the GGA-PBE geometry in Alexandria.
Intensities are scaled so that the largest is 100.

Cell and atoms:
```
TaTc5
1.0
0.0000 3.6070 3.6070
3.6070 0.0000 3.6070
3.6070 3.6070 0.0000
Ta Tc
1 5
Cartesian
0.0000 0.0000 0.0000
2.6987 2.6987 2.6987
4.5154 4.5154 2.6987
4.5154 2.6987 4.5154
5.4105 5.4105 5.4105
2.6987 4.5154 4.5154
```

Top 12 peaks for 2θ = 15–90°, low angle first:
2θ (°)  intensity
21.33  4
24.68  3
35.19  38
41.52  100
43.45  30
50.61  1
57.10  2
63.14  14
67.46  31
74.39  25
85.04  6
88.98  11

# 2
Ta2Tc: calculated X-ray diffraction stick pattern (Cu Kα (weighted mean of Kα1 and Kα2)), based on the GGA-PBE geometry in Alexandria.
Intensities are scaled so that the largest is 100.

Cell and atoms:
```
Ta2Tc
1.0
3.2133 0.0000 0.0000
0.0000 13.8175 0.0000
0.0000 0.0000 4.5470
Ta Tc
8 4
Cartesian
0.0000 1.1029 1.1368
0.0000 3.3811 3.4103
0.0000 10.4364 1.1368
0.0000 12.7147 3.4103
1.6067 3.5276 1.1368
1.6067 5.8059 3.4103
1.6067 8.0116 1.1368
1.6067 10.2899 3.4103
0.0000 5.7721 1.1368
0.0000 8.0454 3.4103
1.6067 1.1367 3.4103
1.6067 12.6808 1.1368
```

Top 12 peaks for 2θ = 15–90°, low angle first:
2θ (°)  intensity
28.52  3
32.55  4
39.12  25
39.52  100
39.64  25
56.91  17
57.35  9
71.15  17
71.61  9
71.85  17
71.97  9
85.10  11

# 3
Ta2Tc: calculated X-ray diffraction stick pattern (Cu Kα (weighted mean of Kα1 and Kα2)), based on the GGA-PBE geometry in Alexandria.
Intensities are scaled so that the largest is 100.

Cell and atoms:
```
Ta2Tc
1.0
3.2075 0.0000 0.0000
0.0000 3.2075 0.0000
0.0000 0.0000 9.8343
Ta Tc
4 2
Cartesian
0.0000 0.0000 0.0000
0.0000 0.0000 3.1717
0.0000 0.0000 6.6626
1.6037 1.6037 4.9172
1.6037 1.6037 1.5883
1.6037 1.6037 8.2460
```

Top 12 peaks for 2θ = 15–90°, low angle first:
2θ (°)  intensity
27.20  2
27.81  4
29.29  2
33.35  3
39.30  100
39.74  49
56.11  8
57.46  17
70.94  17
71.84  34
84.53  11
85.66  6

# 4
Ta5Tc3: calculated X-ray diffraction stick pattern (Cu Kα (weighted mean of Kα1 and Kα2)), based on the GGA-PBE geometry in Alexandria.
Intensities are scaled so that the largest is 100.

Cell and atoms:
```
Ta5Tc3
1.0
3.1982 0.0000 0.0000
0.0000 3.1982 0.0000
0.0000 0.0000 13.0826
Ta Tc
5 3
Cartesian
0.0000 0.0000 0.0000
0.0000 0.0000 3.1690
0.0000 0.0000 9.9136
1.5991 1.5991 4.9629
1.5991 1.5991 8.1197
0.0000 0.0000 6.5413
1.5991 1.5991 1.5996
1.5991 1.5991 11.4830
```

Top 12 peaks for 2θ = 15–90°, low angle first:
2θ (°)  intensity
28.74  7
34.27  2
39.41  100
39.86  49
53.56  3
56.25  8
57.64  17
71.15  17
71.26  2
72.07  34
84.80  11
85.97  6

Q: What is the formula in the fourth record?
A: Ta5Tc3